(1)
The following is a theoretical powder diffraction line list of Tb3Cu3Pd2. It was derived from a DFT-relaxed cell (PBE, Alexandria), using Cu Kα (weighted mean of Kα1 and Kα2).
Kinematic intensities with the Lorentz-polarization factor, no thermal factor.

Largest 10 diffraction maxima, by intensity, 15 to 90 degrees two-theta:
h k l, two_theta, I/Imax
1 1 4, 33.3, 100
1 3 3, 38.6, 61
1 3 1, 34.6, 48
2 0 0, 44.0, 39
1 3 4, 41.8, 35
0 0 6, 35.6, 27
2 0 6, 57.8, 21
1 3 7, 54.9, 19
0 4 7, 55.5, 17
0 4 1, 35.5, 16

Cell and atoms:
a b c (Å): 4.115 10.271 15.149
angles (deg): 90.00 90.00 90.00
Space group Cmcm (No. 63)
Unique sites:
Tb 0.000 0.086 0.102 x8
Tb 0.000 0.359 0.250 x4
Cu 0.000 0.359 0.750 x4
Cu 0.000 0.390 0.036 x8
Pd 0.000 0.209 0.611 x8


(2)
The following is a theoretical powder diffraction line list of Sr6Ag5. It was derived from a DFT-relaxed cell (PBE, Alexandria), using Cu Kα (weighted mean of Kα1 and Kα2).
Kinematic intensities with the Lorentz-polarization factor, no thermal factor.

Largest 10 diffraction maxima, by intensity, 15 to 90 degrees two-theta:
h k l, two_theta, I/Imax
2 0 0, 32.2, 100
3 2 3, 57.3, 37
2 0 6, 46.2, 12
4 0 6, 76.6, 10
4 0 0, 67.3, 9
0 4 0, 46.1, 6
1 6 3, 76.4, 5
4 4 0, 85.5, 4
1 1 0, 19.5, 2
0 0 12, 67.4, 2

Cell and atoms:
a b c (Å): 5.563 7.883 16.680
angles (deg): 90.00 90.00 90.00
Space group Immm (No. 71)
Unique sites:
Sr 0.000 0.247 0.000 x4
Sr 0.000 0.251 0.333 x8
Ag 0.000 0.000 0.167 x4
Ag 0.000 0.500 0.166 x4
Ag 0.000 0.500 0.500 x2


(3)
The following is a theoretical powder diffraction line list of Na5B6C4. It was derived from a DFT-relaxed cell (PBE, Alexandria), using Cu Kα (weighted mean of Kα1 and Kα2).
Kinematic intensities with the Lorentz-polarization factor, no thermal factor.

Largest 10 diffraction maxima, by intensity, 15 to 90 degrees two-theta:
h k l, two_theta, I/Imax
2 -1 2, 42.2, 100
0 0 4, 42.7, 25
1 2 -1, 36.2, 18
2 -1 6, 77.8, 12
3 1 -1, 65.2, 11
3 1 3, 81.1, 11
1 2 -5, 57.2, 10
2 4 0, 80.7, 7
0 5 -2, 65.1, 6
0 5 2, 81.0, 6

Cell and atoms:
a b c (Å): 4.953 7.583 8.949
angles (deg): 107.66 90.02 109.06
Space group P-1 (No. 2)
Unique sites:
Na 0.000 0.000 0.000 x1
Na 0.100 0.200 0.500 x2
Na 0.201 0.400 0.998 x2
Na 0.301 0.601 0.500 x2
Na 0.399 0.802 0.002 x2
Na 0.500 0.000 0.500 x1
B 0.084 0.500 0.750 x2
B 0.134 0.900 0.250 x2
B 0.218 0.100 0.750 x2
B 0.281 0.889 0.750 x2
B 0.316 0.300 0.250 x2
B 0.492 0.311 0.750 x2
C 0.018 0.694 0.749 x2
C 0.182 0.697 0.249 x2
C 0.384 0.103 0.250 x2
C 0.424 0.505 0.749 x2


(4)
The following is a theoretical powder diffraction line list of K3TlAg4. It was derived from a DFT-relaxed cell (PBE, Alexandria), using Cu Kα (weighted mean of Kα1 and Kα2).
Kinematic intensities with the Lorentz-polarization factor, no thermal factor.

Largest 10 diffraction maxima, by intensity, 15 to 90 degrees two-theta:
h k l, two_theta, I/Imax
2 2 2, 39.9, 100
1 0 1, 15.9, 94
1 0 3, 30.0, 64
0 0 4, 36.1, 60
1 2 1, 28.1, 56
2 1 1, 30.3, 49
1 3 2, 41.8, 44
3 2 1, 47.8, 32
1 1 0, 17.5, 31
1 2 3, 38.2, 29

Cell and atoms:
a b c (Å): 6.732 7.707 9.970
angles (deg): 90.00 90.00 90.00
Space group Imm2 (No. 44)
Unique sites:
K 0.000 0.000 0.000 x2
K 0.000 0.239 0.363 x4
Tl 0.000 0.500 0.958 x2
Ag 0.000 0.316 0.707 x4
Ag 0.204 0.000 0.654 x4


(5)
The following is a theoretical powder diffraction line list of Y2Be4Si3Rh. It was derived from a DFT-relaxed cell (PBE, Alexandria), using Cu Kα (weighted mean of Kα1 and Kα2).
Kinematic intensities with the Lorentz-polarization factor, no thermal factor.

Largest 10 diffraction maxima, by intensity, 15 to 90 degrees two-theta:
h k l, two_theta, I/Imax
1 1 2, 38.0, 100
1 0 1, 25.0, 61
1 0 3, 36.0, 57
2 0 0, 47.7, 36
1 1 1, 34.5, 29
2 1 3, 61.2, 23
1 0 5, 52.2, 22
3 1 2, 82.3, 20
1 1 6, 66.6, 17
0 0 4, 36.4, 17

Cell and atoms:
a b c (Å): 3.815 3.815 9.874
angles (deg): 90.00 90.00 90.00
Space group P-4m2 (No. 115)
Unique sites:
Y 0.000 0.500 0.246 x2
Be 0.000 0.000 0.000 x1
Be 0.000 0.500 0.635 x2
Be 0.500 0.500 0.000 x1
Si 0.000 0.500 0.867 x2
Si 0.500 0.500 0.500 x1
Rh 0.000 0.000 0.500 x1


(6)
The following is a theoretical powder diffraction line list of Cd2AgCl. It was derived from a DFT-relaxed cell (PBE, Alexandria), using Cu Kα (weighted mean of Kα1 and Kα2).
Kinematic intensities with the Lorentz-polarization factor, no thermal factor.

Largest 10 diffraction maxima, by intensity, 15 to 90 degrees two-theta:
h k l, two_theta, I/Imax
1 1 2, 35.8, 100
0 2 0, 31.7, 35
1 3 2, 59.1, 22
0 0 4, 41.8, 15
0 2 4, 53.4, 15
1 1 6, 72.4, 11
2 2 0, 60.0, 10
2 2 4, 75.8, 10
2 0 0, 49.5, 10
1 1 1, 30.8, 8

Cell and atoms:
a b c (Å): 3.683 5.651 8.641
angles (deg): 90.00 90.00 90.00
Space group Cmm2 (No. 35)
Unique sites:
Cd 0.000 0.000 0.000 x2
Cd 0.000 0.500 0.269 x2
Ag 0.000 0.500 0.756 x2
Cl 0.000 0.000 0.511 x2


(7)
The following is a theoretical powder diffraction line list of NdEr4Ir4. It was derived from a DFT-relaxed cell (PBE, Alexandria), using Cu Kα (weighted mean of Kα1 and Kα2).
Kinematic intensities with the Lorentz-polarization factor, no thermal factor.

Largest 10 diffraction maxima, by intensity, 15 to 90 degrees two-theta:
h k l, two_theta, I/Imax
1 3 0, 31.7, 100
1 0 2, 33.5, 51
3 0 2, 44.4, 36
4 2 0, 45.4, 29
3 2 2, 49.0, 29
1 2 2, 39.2, 23
2 3 1, 39.8, 23
4 1 1, 44.8, 16
1 0 1, 18.7, 14
2 0 0, 19.9, 13

Cell and atoms:
a b c (Å): 8.934 8.934 5.613
angles (deg): 90.00 90.00 90.00
Space group P4_2/n (No. 86, origin choice 2)
Unique sites:
Nd 0.250 0.250 0.250 x2
Er 0.085 0.654 0.144 x8
Ir 0.036 0.614 0.646 x8


(8)
The following is a theoretical powder diffraction line list of U3Be6Pt20. It was derived from a DFT-relaxed cell (PBE, Alexandria), using Cu Kα (weighted mean of Kα1 and Kα2).
Kinematic intensities with the Lorentz-polarization factor, no thermal factor.

Largest 10 diffraction maxima, by intensity, 15 to 90 degrees two-theta:
h k l, two_theta, I/Imax
3 3 3, 38.8, 100
4 2 2, 36.5, 35
6 6 0, 65.7, 29
4 2 0, 33.2, 26
5 3 1, 44.5, 24
4 4 0, 42.4, 21
8 4 4, 77.6, 19
5 5 5, 67.3, 16
6 0 0, 45.1, 11
9 3 3, 79.0, 11

Cell and atoms:
a b c (Å): 12.055 12.055 12.055
angles (deg): 90.00 90.00 90.00
Space group Fm-3m (No. 225)
Unique sites:
U 0.000 0.000 0.000 x4
U 0.250 0.250 0.250 x8
Be 0.000 0.000 0.274 x24
Pt 0.000 0.169 0.169 x48
Pt 0.117 0.117 0.383 x32